The following is a simulated XRD peak list of K2ZnS2O8. It was derived from a cell relaxed with PBE, using copper Kα.

Most intense lines, 5 to 70 degrees two-theta, by angle:
index, 2θ/deg, d/Å, intensity
0 1 1, 11.3, 7.845, 100
1 1 2, 24.8, 3.584, 25
1 1 -4, 25.5, 3.490, 34
1 2 -2, 26.5, 3.366, 21
1 2 1, 27.8, 3.205, 50
1 2 -3, 28.2, 3.159, 60
0 1 5, 29.1, 3.070, 37
0 2 4, 29.6, 3.016, 25
1 0 4, 31.5, 2.842, 39
1 0 -6, 32.4, 2.764, 24
2 0 -2, 32.9, 2.720, 40
0 1 8, 45.6, 1.990, 20

Cell lengths 5.443, 8.943, 17.069 Å; angles 90.00, 106.78, 90.00 degrees
Space group P2_1/c (No. 14)
One atom of each set of equivalent atoms:
K 0.005 0.144 0.272 [4 per cell]
K 0.213 0.674 0.977 [4 per cell]
Zn 0.384 0.030 0.130 [4 per cell]
S 0.182 0.110 0.928 [4 per cell]
S 0.412 0.116 0.677 [4 per cell]
O 0.094 0.620 0.625 [4 per cell]
O 0.182 0.118 0.015 [4 per cell]
O 0.241 0.032 0.608 [4 per cell]
O 0.292 0.537 0.410 [4 per cell]
O 0.309 0.226 0.178 [4 per cell]
O 0.321 0.621 0.828 [4 per cell]
O 0.329 0.235 0.908 [4 per cell]
O 0.398 0.046 0.755 [4 per cell]